Entry 1:
# Dy2GaNi16
Calculated X-ray powder pattern, Cu Kα (λ = 1.5418 Å). Input: a structure optimized by DFT (PBE).

Peak list (8 most intense, 2θ = 10–90°, in order of rising 2θ)
d (Å), I (rel.)
2.897, 34
2.394, 43
2.319, 28
2.074, 60
2.061, 100
2.024, 47
1.846, 22
1.449, 24

Crystal structure
a = 8.2945 Å, b = 8.2945 Å, c = 12.1478 Å
α = 90.00°, β = 90.00°, γ = 120.00°
Space group R3m (No. 160, hexagonal axes)
One atom of each set of equivalent atoms:
Dy 0.0000 0.0000 0.0000
Dy 0.0000 0.0000 0.3139
Ga 0.0000 0.0000 0.7468
Ni 0.0000 0.0000 0.5526
Ni 0.0001 0.2980 0.6540
Ni 0.9998 0.4999 0.4999
Ni 0.1670 0.3341 0.1428
Ni 0.1673 0.3345 0.4879

***

Entry 2:
# Dy6GaNi2
Calculated X-ray powder pattern, Cu Kα (λ = 1.5418 Å). Input: a structure optimized by DFT (PBE).

Peak list (8 most intense, 2θ = 10–90°, in order of rising 2θ)
d (Å), I (rel.)
2.929, 30
2.767, 100
2.597, 48
2.585, 63
2.542, 47
2.307, 24
1.564, 28
1.522, 31

Crystal structure
a = 9.228 Å, b = 9.596 Å, c = 9.976 Å
α = 90.00°, β = 90.00°, γ = 90.00°
Space group Immm (No. 71)
One atom of each set of equivalent atoms:
Dy 0.000 0.195 0.236
Dy 0.192 0.500 0.174
Dy 0.215 0.320 0.500
Ga 0.000 0.000 0.000
Ga 0.000 0.000 0.500
Ni 0.000 0.347 0.000
Ni 0.000 0.500 0.379

***

Entry 3:
# Dy4Ga21Ni10
Calculated X-ray powder pattern, Cu Kα (λ = 1.5418 Å). Input: a structure optimized by DFT (PBE).

Peak list (8 most intense, 2θ = 10–90°, in order of rising 2θ)
d (Å), I (rel.)
2.426, 61
2.419, 26
2.392, 84
2.385, 50
2.367, 47
2.337, 79
2.062, 100
1.974, 32

Crystal structure
a = 20.920 Å, b = 4.124 Å, c = 15.303 Å
α = 90.00°, β = 124.36°, γ = 90.00°
Space group C2/m (No. 12)
One atom of each set of equivalent atoms:
Dy 0.121 0.000 0.335
Dy 0.229 0.000 0.824
Ga 0.000 0.500 0.500
Ga 0.007 0.000 0.092
Ga 0.041 0.500 0.368
Ga 0.066 0.000 0.797
Ga 0.101 0.500 0.000
Ga 0.113 0.500 0.704
Ga 0.117 0.000 0.554
Ga 0.127 0.500 0.196
Ga 0.200 0.000 0.003
Ga 0.202 0.500 0.502
Ga 0.249 0.000 0.295
Ni 0.002 0.500 0.184
Ni 0.023 0.000 0.606
Ni 0.133 0.000 0.106
Ni 0.153 0.500 0.890
Ni 0.249 0.000 0.616

***

Entry 4:
# Dy2Ga5Ni5
Calculated X-ray powder pattern, Cu Kα (λ = 1.5418 Å). Input: a structure optimized by DFT (PBE).

Peak list (8 most intense, 2θ = 10–90°, in order of rising 2θ)
d (Å), I (rel.)
2.994, 52
2.979, 27
2.563, 31
2.237, 41
2.181, 54
2.163, 100
2.015, 40
1.399, 24

Crystal structure
a = 4.030 Å, b = 5.186 Å, c = 8.845 Å
α = 90.00°, β = 90.00°, γ = 90.00°
Space group Pmmm (No. 47)
One atom of each set of equivalent atoms:
Dy 0.000 0.000 0.000
Dy 0.000 0.500 0.500
Ga 0.500 0.000 0.500
Ga 0.500 0.251 0.236
Ni 0.000 0.000 0.335
Ni 0.000 0.500 0.171
Ni 0.500 0.500 0.000

***

Entry 5:
# DyGaNi5
Calculated X-ray powder pattern, Cu Kα (λ = 1.5418 Å). Input: a structure optimized by DFT (PBE).

Peak list (8 most intense, 2θ = 10–90°, in order of rising 2θ)
d (Å), I (rel.)
2.409, 18
2.375, 28
2.245, 100
2.168, 15
2.012, 14
1.930, 39
1.893, 20
1.357, 18

Crystal structure
a = 7.872 Å, b = 4.817 Å, c = 9.964 Å
α = 90.00°, β = 90.00°, γ = 90.00°
Space group Pnma (No. 62)
One atom of each set of equivalent atoms:
Dy 0.247 0.250 0.059
Ga 0.143 0.750 0.858
Ni 0.054 0.750 0.093
Ni 0.066 0.005 0.306
Ni 0.095 0.250 0.517
Ni 0.186 0.250 0.751

***

Entry 6:
# DyGa4NiRh2
Calculated X-ray powder pattern, Cu Kα (λ = 1.5418 Å). Input: a structure optimized by DFT (PBE).

Peak list (8 most intense, 2θ = 10–90°, in order of rising 2θ)
d (Å), I (rel.)
3.166, 15
2.967, 36
2.399, 84
2.107, 100
1.955, 19
1.583, 23
1.266, 21
1.216, 16

Crystal structure
a = 4.2141 Å, b = 4.2141 Å, c = 25.4700 Å
α = 90.00°, β = 90.00°, γ = 120.00°
Space group R-3m (No. 166, hexagonal axes)
One atom of each set of equivalent atoms:
Dy 0.0000 0.0000 0.0000
Ga 0.0000 0.0000 0.1324
Ga 0.0000 0.0000 0.4001
Ni 0.0000 0.0000 0.5000
Rh 0.0000 0.0000 0.2337

***

Entry 7:
# Dy3GaNiS7
Calculated X-ray powder pattern, Cu Kα (λ = 1.5418 Å). Input: a structure optimized by DFT (PBE).

Peak list (8 most intense, 2θ = 10–90°, in order of rising 2θ)
d (Å), I (rel.)
4.963, 24
3.441, 100
3.127, 20
2.520, 28
2.482, 33
2.388, 38
2.202, 21
1.850, 24

Crystal structure
a = 9.5519 Å, b = 9.5519 Å, c = 6.2042 Å
α = 90.00°, β = 90.00°, γ = 120.00°
Space group P6_3 (No. 173)
One atom of each set of equivalent atoms:
Dy 0.1574 0.7819 0.0000
Ga 0.3333 0.6667 0.5727
Ni 0.0000 0.0000 0.1673
S 0.0858 0.5206 0.7311
S 0.1010 0.8704 0.4038
S 0.3333 0.6667 0.2077

***

Entry 8:
# Dy3Ga2SiNi9
Calculated X-ray powder pattern, Cu Kα (λ = 1.5418 Å). Input: a structure optimized by DFT (PBE).

Peak list (8 most intense, 2θ = 10–90°, in order of rising 2θ)
d (Å), I (rel.)
3.194, 38
3.008, 49
2.695, 27
2.480, 74
2.190, 100
1.770, 30
1.597, 28
1.504, 26

Crystal structure
a = 6.0168 Å, b = 6.0168 Å, c = 8.0839 Å
α = 90.00°, β = 90.00°, γ = 120.00°
Space group P-3m1 (No. 164)
One atom of each set of equivalent atoms:
Dy 0.0000 0.0000 0.0000
Dy 0.3333 0.6667 0.6853
Ga 0.3333 0.6667 0.1941
Si 0.0000 0.0000 0.5000
Ni 0.0000 0.5000 0.0000
Ni 0.1336 0.2671 0.2872